Starting from a GGA-PBE-relaxed structure, the powder X-ray diffraction pattern of MnNi5H7 was computed for CuKα.

Cell and atoms:
```
data_MnNi5H7
_symmetry_space_group_name_H-M 'C m c m'
_symmetry_Int_Tables_number 63
_symmetry_space_group_name_Hall '-C 2c 2'
_cell_length_a 2.644
_cell_length_b 8.692
_cell_length_c 14.639
_cell_angle_alpha 90.00
_cell_angle_beta 90.00
_cell_angle_gamma 90.00
loop_
_atom_site_label
_atom_site_type_symbol
_atom_site_fract_x
_atom_site_fract_y
_atom_site_fract_z
Mn1 Mn 0.000 0.195 0.250
Ni1 Ni 0.000 0.000 0.000
Ni2 Ni 0.000 0.274 0.580
Ni3 Ni 0.000 0.457 0.153
H1 H 0.000 0.089 0.111
H2 H 0.000 0.174 0.679
H3 H 0.000 0.364 0.035
H4 H 0.000 0.451 0.750
```

Largest 8 diffraction maxima, in order of rising 2θ, 2θ = 10–80°:
| two_theta | d (Å) | I_rel | index |
| --- | --- | --- | --- |
| 37.0 | 2.428 | 22 | 0 2 5 |
| 40.2 | 2.245 | 64 | 1 1 3 |
| 41.6 | 2.173 | 29 | 0 4 0 |
| 42.0 | 2.149 | 32 | 0 4 1 |
| 42.5 | 2.128 | 100 | 0 2 6 |
| 43.5 | 2.081 | 67 | 1 1 4 |
| 48.2 | 1.887 | 44 | 1 3 2 |
| 50.3 | 1.813 | 34 | 1 3 3 |

=====

Starting from a GGA-PBE-relaxed structure, the powder X-ray diffraction pattern of Ti5CrOs4 was computed for CuKα.

Cell and atoms:
```
data_Ti5CrOs4
_symmetry_space_group_name_H-M 'P 4/m m m'
_symmetry_Int_Tables_number 123
_symmetry_space_group_name_Hall '-P 4 2'
_cell_length_a 3.081
_cell_length_b 3.081
_cell_length_c 15.464
_cell_angle_alpha 90.00
_cell_angle_beta 90.00
_cell_angle_gamma 90.00
loop_
_atom_site_label
_atom_site_type_symbol
_atom_site_fract_x
_atom_site_fract_y
_atom_site_fract_z
Ti1 Ti 0.000 0.000 0.000
Ti2 Ti 0.000 0.000 0.202
Ti3 Ti 0.000 0.000 0.402
Cr1 Cr 0.500 0.500 0.500
Os1 Os 0.500 0.500 0.100
Os2 Os 0.500 0.500 0.301
```

Largest 8 diffraction maxima, in order of rising 2θ, 2θ = 10–80°:
| two_theta | d (Å) | I_rel | index |
| --- | --- | --- | --- |
| 28.9 | 3.093 | 13 | 0 0 5 |
| 29.0 | 3.081 | 25 | 1 0 0 |
| 41.4 | 2.181 | 100 | 1 1 0 |
| 51.3 | 1.781 | 11 | 1 1 5 |
| 60.1 | 1.541 | 11 | 2 0 0 |
| 68.0 | 1.378 | 10 | 2 1 0 |
| 75.4 | 1.261 | 11 | 1 1 10 |
| 75.5 | 1.259 | 22 | 2 1 5 |

=====

Starting from a GGA-PBE-relaxed structure, the powder X-ray diffraction pattern of Mg3Cd11 was computed for CuKα.

Cell and atoms:
```
data_Mg3Cd11
_symmetry_space_group_name_H-M 'I m m m'
_symmetry_Int_Tables_number 71
_symmetry_space_group_name_Hall '-I 2 2'
_cell_length_a 4.690
_cell_length_b 11.478
_cell_length_c 12.023
_cell_angle_alpha 90.00
_cell_angle_beta 90.00
_cell_angle_gamma 90.00
loop_
_atom_site_label
_atom_site_type_symbol
_atom_site_fract_x
_atom_site_fract_y
_atom_site_fract_z
Mg1 Mg 0.000 0.000 0.000
Mg2 Mg 0.000 0.000 0.273
Cd1 Cd 0.000 0.148 0.500
Cd2 Cd 0.000 0.277 0.151
Cd3 Cd 0.000 0.377 0.373
Cd4 Cd 0.000 0.500 0.000
```

Largest 8 diffraction maxima, in order of rising 2θ, 2θ = 10–80°:
| two_theta | d (Å) | I_rel | index |
| --- | --- | --- | --- |
| 23.5 | 3.784 | 32 | 0 1 3 |
| 33.3 | 2.691 | 80 | 1 2 3 |
| 33.7 | 2.660 | 53 | 0 2 4 |
| 36.4 | 2.471 | 35 | 1 1 4 |
| 37.5 | 2.398 | 100 | 1 4 1 |
| 38.4 | 2.345 | 57 | 2 0 0 |
| 42.8 | 2.111 | 52 | 1 3 4 |
| 66.5 | 1.406 | 31 | 1 4 7 |

=====

Starting from a GGA-PBE-relaxed structure, the powder X-ray diffraction pattern of Pu2Hg4Bi was computed for CuKα.

Cell and atoms:
```
data_Pu2Hg4Bi
_symmetry_space_group_name_H-M 'I 4/m c m'
_symmetry_Int_Tables_number 140
_symmetry_space_group_name_Hall '-I 4 2c'
_cell_length_a 8.708
_cell_length_b 8.708
_cell_length_c 10.759
_cell_angle_alpha 90.00
_cell_angle_beta 90.00
_cell_angle_gamma 90.00
loop_
_atom_site_label
_atom_site_type_symbol
_atom_site_fract_x
_atom_site_fract_y
_atom_site_fract_z
Pu1 Pu 0.149 0.351 0.000
Hg1 Hg 0.148 0.352 0.329
Bi1 Bi 0.000 0.000 0.250
```

Largest 8 diffraction maxima, in order of rising 2θ, 2θ = 10–80°:
| two_theta | d (Å) | I_rel | index |
| --- | --- | --- | --- |
| 14.4 | 6.158 | 12 | 1 1 0 |
| 32.5 | 2.754 | 50 | 3 1 0 |
| 34.0 | 2.638 | 100 | 2 1 3 |
| 41.5 | 2.177 | 11 | 4 0 0 |
| 50.1 | 1.820 | 12 | 4 1 3 |
| 63.1 | 1.474 | 27 | 5 2 3 |
| 67.7 | 1.384 | 12 | 4 0 6 |
| 69.6 | 1.350 | 12 | 3 3 6 |